Record 1
Calculated XRD peak list of AgSbO3 for Cu Kα X-rays, from the GGA-PBE geometry in the Materials Project.
Intensities are scaled so that the largest is 1000.

Structure:
Cell lengths 8.166, 8.166, 9.517 Å; angles 124.52, 124.52, 71.24 degrees
Fractional positions:
Ag 0.133 0.133 0.268
Ag 0.471 0.151 0.000
Ag 0.483 0.144 0.633
Ag 0.849 0.529 0.000
Ag 0.856 0.517 0.367
Ag 0.867 0.867 0.732
Sb 0.011 0.989 0.500
Sb 0.183 0.494 0.842
Sb 0.348 0.647 0.336
Sb 0.353 0.652 0.664
Sb 0.506 0.817 0.158
Sb 0.690 0.310 0.500
O 0.131 0.855 0.660
O 0.145 0.869 0.340
O 0.177 0.485 0.047
O 0.183 0.483 0.623
O 0.203 0.797 0.000
O 0.215 0.506 0.366
O 0.232 0.199 0.719
O 0.467 0.109 0.289
O 0.483 0.517 0.000
O 0.494 0.785 0.634
O 0.515 0.823 0.953
O 0.517 0.817 0.377
O 0.564 0.434 0.670
O 0.566 0.436 0.330
O 0.801 0.768 0.281
O 0.845 0.144 0.634
O 0.856 0.155 0.366
O 0.891 0.533 0.711

Peak list (12 most intense, 2θ from 10° to 80°, sorted by position)
Position (°2θ), d [Å], I/Imax
13.16, 6.727, 176
29.43, 3.035, 305
29.70, 3.008, 1000
29.93, 2.985, 166
34.86, 2.574, 200
35.12, 2.555, 343
35.48, 2.530, 199
35.72, 2.514, 151
40.21, 2.243, 193
49.01, 1.859, 146
56.39, 1.632, 157
58.18, 1.586, 237

=====

Record 2
Calculated XRD peak list of AgSbO3 for Cu Kα X-rays, from the GGA-PBE geometry in the Materials Project.
Intensities are scaled so that the largest is 1000.

Structure:
Cell lengths 6.493, 6.493, 6.493 Å; angles 49.31, 49.31, 49.31 degrees
Fractional positions:
Ag 0.138 0.138 0.138
Ag 0.862 0.862 0.862
Sb 0.337 0.337 0.337
Sb 0.663 0.663 0.663
O 0.059 0.455 0.685
O 0.315 0.941 0.545
O 0.455 0.685 0.059
O 0.545 0.315 0.941
O 0.685 0.059 0.455
O 0.941 0.545 0.315

Peak list (12 most intense, 2θ from 10° to 80°, sorted by position)
Position (°2θ), d [Å], I/Imax
21.61, 4.111, 428
28.27, 3.157, 1000
31.44, 2.845, 146
32.43, 2.761, 164
33.07, 2.709, 964
44.05, 2.056, 311
46.28, 1.962, 618
56.17, 1.638, 291
59.07, 1.564, 269
59.49, 1.554, 147
68.46, 1.370, 117
69.39, 1.354, 120

=====

Record 3
Calculated XRD peak list of AgSbO3 for Cu Kα X-rays, from the GGA-PBE geometry in the Materials Project.
Intensities are scaled so that the largest is 1000.

Structure:
Cell lengths 8.102, 8.348, 13.443 Å; angles 90.76, 90.34, 109.32 degrees
Fractional positions:
Ag 0.000 0.000 0.000
Ag 0.009 0.646 0.973
Ag 0.160 0.772 0.483
Ag 0.306 0.581 0.685
Ag 0.325 0.301 0.981
Ag 0.493 0.382 0.477
Ag 0.524 0.028 0.523
Ag 0.553 0.830 0.338
Ag 0.629 0.744 0.540
Ag 0.798 0.062 0.193
Ag 0.844 0.123 0.825
Ag 0.957 0.322 0.057
Sb 0.068 0.183 0.400
Sb 0.092 0.854 0.232
Sb 0.162 0.106 0.651
Sb 0.343 0.956 0.813
Sb 0.411 0.188 0.232
Sb 0.423 0.861 0.062
Sb 0.587 0.703 0.900
Sb 0.588 0.369 0.737
Sb 0.663 0.598 0.147
Sb 0.835 0.451 0.314
Sb 0.915 0.353 0.563
Sb 0.919 0.695 0.731
O 0.010 0.246 0.675
O 0.029 0.586 0.624
O 0.053 0.657 0.320
O 0.132 0.396 0.485
O 0.136 0.739 0.812
O 0.179 0.076 0.504
O 0.179 0.083 0.161
O 0.186 0.100 0.802
O 0.188 0.752 0.119
O 0.303 0.286 0.340
O 0.315 0.976 0.960
O 0.325 0.966 0.660
O 0.328 0.955 0.301
O 0.365 0.648 0.978
O 0.376 0.324 0.648
O 0.452 0.386 0.141
O 0.470 0.473 0.837
O 0.492 0.811 0.790
O 0.525 0.751 0.168
O 0.533 0.081 0.132
O 0.559 0.164 0.818
O 0.621 0.242 0.317
O 0.651 0.919 0.983
O 0.678 0.597 0.297
O 0.678 0.599 0.667
O 0.682 0.265 0.625
O 0.693 0.586 0.001
O 0.810 0.471 0.461
O 0.825 0.469 0.802
O 0.826 0.808 0.843
O 0.827 0.460 0.162
O 0.840 0.132 0.481
O 0.879 0.813 0.146
O 0.952 0.893 0.647
O 0.968 0.961 0.331
O 0.970 0.293 0.292

Peak list (12 most intense, 2θ from 10° to 80°, sorted by position)
Position (°2θ), d [Å], I/Imax
18.68, 4.751, 484
29.38, 3.040, 563
29.62, 3.016, 541
29.80, 2.998, 1000
29.83, 2.995, 808
30.00, 2.978, 767
32.90, 2.723, 309
35.19, 2.550, 273
35.43, 2.534, 335
35.73, 2.513, 291
35.79, 2.509, 294
58.45, 1.579, 305

=====

Record 4
Calculated XRD peak list of AgSbO3 for Cu Kα X-rays, from the GGA-PBE geometry in the Materials Project.
Intensities are scaled so that the largest is 1000.

Structure:
Cell lengths 7.371, 7.371, 7.371 Å; angles 60.00, 60.00, 60.00 degrees
Fractional positions:
Ag 0.000 0.000 0.000
Ag 0.000 0.000 0.500
Ag 0.000 0.500 0.000
Ag 0.500 0.000 0.000
Sb 0.000 0.500 0.500
Sb 0.500 0.000 0.500
Sb 0.500 0.500 0.000
Sb 0.500 0.500 0.500
O 0.174 0.174 0.576
O 0.174 0.576 0.174
O 0.174 0.576 0.576
O 0.424 0.424 0.826
O 0.424 0.826 0.424
O 0.424 0.826 0.826
O 0.576 0.174 0.174
O 0.576 0.174 0.576
O 0.576 0.576 0.174
O 0.826 0.424 0.424
O 0.826 0.424 0.826
O 0.826 0.826 0.424

Peak list (10 most intense, 2θ from 10° to 80°, sorted by position)
Position (°2θ), d [Å], I/Imax
14.72, 6.018, 27
24.15, 3.685, 6
29.69, 3.009, 1000
34.41, 2.606, 350
42.49, 2.128, 9
45.20, 2.006, 8
49.46, 1.843, 429
58.76, 1.571, 411
61.65, 1.505, 105
72.55, 1.303, 61

=====

Record 5
Calculated XRD peak list of Ag3SbO4 for Cu Kα X-rays, from the GGA-PBE geometry in the Materials Project.
Intensities are scaled so that the largest is 1000.

Structure:
Cell lengths 7.283, 7.283, 8.811 Å; angles 90.00, 90.00, 90.00 degrees
Fractional positions:
Ag 0.000 0.180 0.000
Ag 0.000 0.263 0.500
Ag 0.000 0.737 0.000
Ag 0.000 0.820 0.500
Ag 0.180 0.000 0.750
Ag 0.200 0.500 0.250
Ag 0.263 0.000 0.250
Ag 0.500 0.200 0.500
Ag 0.500 0.800 0.000
Ag 0.737 0.000 0.750
Ag 0.800 0.500 0.750
Ag 0.820 0.000 0.250
Sb 0.280 0.500 0.750
Sb 0.500 0.280 0.000
Sb 0.500 0.720 0.500
Sb 0.720 0.500 0.250
O 0.086 0.305 0.734
O 0.086 0.695 0.766
O 0.305 0.086 0.016
O 0.305 0.484 0.981
O 0.305 0.516 0.519
O 0.305 0.914 0.484
O 0.484 0.305 0.769
O 0.484 0.695 0.731
O 0.516 0.305 0.231
O 0.516 0.695 0.269
O 0.695 0.086 0.984
O 0.695 0.484 0.019
O 0.695 0.516 0.481
O 0.695 0.914 0.516
O 0.914 0.305 0.266
O 0.914 0.695 0.234

Peak list (12 most intense, 2θ from 10° to 80°, sorted by position)
Position (°2θ), d [Å], I/Imax
29.23, 3.055, 202
31.88, 2.807, 1000
34.84, 2.575, 509
40.97, 2.203, 237
41.40, 2.181, 66
46.10, 1.969, 69
50.10, 1.821, 116
52.86, 1.732, 98
54.85, 1.674, 253
60.62, 1.527, 182
66.64, 1.403, 94
68.95, 1.362, 111

=====

Record 6
Calculated XRD peak list of Ag7Sb9O25 for Cu Kα X-rays, from the GGA-PBE geometry in the Materials Project.
Intensities are scaled so that the largest is 1000.

Structure:
Cell lengths 12.785, 12.785, 12.785 Å; angles 33.36, 33.36, 33.36 degrees
Fractional positions:
Ag 0.000 0.000 0.000
Ag 0.248 0.248 0.751
Ag 0.248 0.751 0.248
Ag 0.256 0.747 0.747
Ag 0.747 0.256 0.747
Ag 0.747 0.747 0.256
Ag 0.751 0.248 0.248
Sb 0.250 0.250 0.250
Sb 0.486 0.486 0.486
Sb 0.500 0.500 0.999
Sb 0.500 0.999 0.500
Sb 0.508 0.997 0.997
Sb 0.750 0.750 0.750
Sb 0.997 0.508 0.997
Sb 0.997 0.997 0.508
Sb 0.999 0.500 0.500
O 0.012 0.412 0.412
O 0.084 0.084 0.494
O 0.084 0.494 0.084
O 0.211 0.211 0.614
O 0.211 0.614 0.211
O 0.220 0.658 0.658
O 0.278 0.278 0.899
O 0.278 0.899 0.278
O 0.386 0.787 0.787
O 0.412 0.012 0.412
O 0.412 0.412 0.012
O 0.494 0.084 0.084
O 0.516 0.912 0.912
O 0.587 0.587 0.987
O 0.587 0.987 0.587
O 0.614 0.211 0.211
O 0.658 0.220 0.658
O 0.658 0.658 0.220
O 0.787 0.386 0.787
O 0.787 0.787 0.386
O 0.845 0.845 0.845
O 0.899 0.278 0.278
O 0.912 0.516 0.912
O 0.912 0.912 0.516
O 0.987 0.587 0.587

Peak list (12 most intense, 2θ from 10° to 80°, sorted by position)
Position (°2θ), d [Å], I/Imax
14.74, 6.008, 33
29.62, 3.016, 326
29.80, 2.998, 1000
34.49, 2.600, 463
49.46, 1.843, 265
49.70, 1.835, 295
58.72, 1.572, 124
58.93, 1.567, 265
59.03, 1.565, 136
61.50, 1.508, 29
61.90, 1.499, 103
72.74, 1.300, 75

=====

Record 7
Calculated XRD peak list of Zn2AgSbO6 for Cu Kα X-rays, from the GGA-PBE geometry in the Materials Project.
Intensities are scaled so that the largest is 1000.

Structure:
Cell lengths 5.489, 7.754, 5.590 Å; angles 90.00, 97.53, 90.00 degrees
Fractional positions:
Zn 0.015 0.250 0.061
Zn 0.456 0.750 0.484
Zn 0.544 0.250 0.516
Zn 0.985 0.750 0.939
Ag 0.000 0.000 0.500
Ag 0.000 0.500 0.500
Sb 0.500 0.000 0.000
Sb 0.500 0.500 0.000
O 0.111 0.750 0.603
O 0.201 0.574 0.120
O 0.201 0.926 0.120
O 0.346 0.062 0.661
O 0.346 0.438 0.661
O 0.398 0.250 0.125
O 0.602 0.750 0.875
O 0.654 0.562 0.339
O 0.654 0.938 0.339
O 0.799 0.074 0.880
O 0.799 0.426 0.880
O 0.889 0.250 0.397

Peak list (12 most intense, 2θ from 10° to 80°, sorted by position)
Position (°2θ), d [Å], I/Imax
31.53, 2.838, 1000
32.31, 2.771, 476
32.92, 2.721, 414
33.72, 2.658, 756
43.45, 2.083, 217
46.87, 1.938, 217
55.70, 1.650, 235
56.50, 1.629, 244
58.07, 1.588, 179
58.46, 1.579, 194
59.90, 1.544, 160
60.66, 1.527, 147

=====

Record 8
Calculated XRD peak list of ScAgO3 for Cu Kα X-rays, from the GGA-PBE geometry in the Materials Project.
Intensities are scaled so that the largest is 1000.

Structure:
Cell lengths 6.489, 6.489, 3.220 Å; angles 90.00, 90.00, 103.22 degrees
Fractional positions:
Sc 0.000 0.500 0.000
Sc 0.500 0.000 0.000
Ag 0.000 0.000 0.500
Ag 0.500 0.500 0.500
O 0.136 0.864 0.000
O 0.187 0.464 0.500
O 0.464 0.187 0.500
O 0.536 0.813 0.500
O 0.813 0.536 0.500
O 0.864 0.136 0.000

Peak list (12 most intense, 2θ from 10° to 80°, sorted by position)
Position (°2θ), d [Å], I/Imax
17.44, 5.086, 203
22.06, 4.030, 147
27.70, 3.220, 149
28.25, 3.159, 1000
32.92, 2.721, 627
35.29, 2.543, 131
35.69, 2.516, 311
39.98, 2.255, 166
44.99, 2.015, 141
51.07, 1.788, 503
56.86, 1.619, 263
65.01, 1.435, 164

=====

Record 9
Calculated XRD peak list of ScAgO2 for Cu Kα X-rays, from the GGA-PBE geometry in the Materials Project.
Intensities are scaled so that the largest is 1000.

Structure:
Cell lengths 3.239, 3.239, 18.797 Å; angles 90.00, 90.00, 120.00 degrees
Fractional positions:
Sc 0.000 0.000 0.000
Sc 0.333 0.667 0.667
Sc 0.667 0.333 0.333
Ag 0.000 0.000 0.500
Ag 0.333 0.667 0.167
Ag 0.667 0.333 0.833
O 0.000 0.000 0.388
O 0.000 0.000 0.612
O 0.333 0.667 0.055
O 0.333 0.667 0.279
O 0.667 0.333 0.721
O 0.667 0.333 0.945

Peak list (12 most intense, 2θ from 10° to 80°, sorted by position)
Position (°2θ), d [Å], I/Imax
14.13, 6.266, 207
28.49, 3.133, 380
32.27, 2.774, 360
33.34, 2.688, 1000
37.34, 2.409, 436
50.68, 1.801, 352
56.85, 1.619, 257
58.93, 1.567, 86
59.17, 1.561, 207
64.81, 1.439, 205
67.53, 1.387, 112
79.61, 1.204, 83

=====

Record 10
Calculated XRD peak list of ScAgO2 for Cu Kα X-rays, from the GGA-PBE geometry in the Materials Project.
Intensities are scaled so that the largest is 1000.

Structure:
Cell lengths 3.192, 3.192, 18.451 Å; angles 90.00, 90.00, 120.00 degrees
Fractional positions:
Sc 0.000 0.000 0.000
Sc 0.333 0.667 0.667
Sc 0.667 0.333 0.333
Ag 0.000 0.000 0.840
Ag 0.333 0.667 0.506
Ag 0.667 0.333 0.173
O 0.000 0.000 0.272
O 0.000 0.000 0.721
O 0.333 0.667 0.388
O 0.333 0.667 0.938
O 0.667 0.333 0.055
O 0.667 0.333 0.605

Peak list (12 most intense, 2θ from 10° to 80°, sorted by position)
Position (°2θ), d [Å], I/Imax
14.40, 6.150, 307
29.04, 3.075, 460
32.75, 2.734, 1000
33.85, 2.648, 545
37.94, 2.371, 255
40.78, 2.213, 433
47.67, 1.908, 525
51.61, 1.771, 183
57.76, 1.596, 325
65.04, 1.434, 115
65.93, 1.417, 249
68.01, 1.378, 108